Computed powder diffractogram of Pm2Y3In3 for Cu Kα (λ = 1.5418 Å), from a structure optimized by DFT (PBE).
Lines closer than 0.1° are merged.

Principal peaks in the range 5° ≤ 2θ ≤ 70°, by angle:
2theta  d/Å  intensity
32.00  2.797  100.0
35.97  2.497  18.5
36.39  2.469  17.9
38.92  2.314  15.3
52.10  1.755  12.6
54.04  1.697  10.5
62.18  1.493  14.3
62.74  1.481  14.3
66.18  1.412  10.3
66.91  1.398  10.9

Crystal structure
abc: 4.937 4.994 9.254
angles: 90.00 90.00 90.00
Element x y z (fractional)
1 Pm 0.000 0.000 0.242
2 Pm 0.000 0.000 0.758
3 Y 0.500 0.000 0.500
4 Y 0.500 0.500 0.230
5 Y 0.500 0.500 0.770
6 In 0.000 0.500 0.000
7 In 0.000 0.500 0.500
8 In 0.500 0.000 0.000

---

Computed powder diffractogram of Pm3ZnIn2 for Cu Kα (λ = 1.5418 Å), from a structure optimized by DFT (PBE).
Lines closer than 0.1° are merged.

Principal peaks in the range 5° ≤ 2θ ≤ 70°, by angle:
2theta  d/Å  intensity
23.92  3.721  3.9
28.37  3.146  4.7
33.16  2.702  100.0
34.08  2.631  49.0
46.20  1.965  8.9
48.97  1.860  17.4
52.08  1.756  3.4
58.64  1.574  16.5
60.42  1.532  35.1
69.59  1.351  9.6

Crystal structure
abc: 3.721 3.721 11.791
angles: 90.00 90.00 90.00
Element x y z (fractional)
1 Pm 0.000 0.000 0.000
2 Pm 0.000 0.000 0.351
3 Pm 0.000 0.000 0.649
4 Zn 0.500 0.500 0.500
5 In 0.500 0.500 0.177
6 In 0.500 0.500 0.823

---

Computed powder diffractogram of Pm4ZnIn2 for Cu Kα (λ = 1.5418 Å), from a structure optimized by DFT (PBE).
Lines closer than 0.1° are merged.

Principal peaks in the range 5° ≤ 2θ ≤ 70°, by angle:
2theta  d/Å  intensity
20.42  4.349  11.0
23.67  3.759  24.3
33.62  2.666  100.0
33.82  2.650  98.0
39.72  2.269  6.8
41.53  2.175  5.6
48.43  1.880  35.4
60.11  1.539  18.4
60.24  1.536  36.5
60.64  1.527  17.7

Crystal structure
abc: 9.163 9.163 9.163
angles: 33.83 33.83 33.83
Element x y z (fractional)
1 Pm 0.123 0.123 0.123
2 Pm 0.374 0.374 0.374
3 Pm 0.626 0.626 0.626
4 Pm 0.877 0.877 0.877
5 Zn 0.500 0.500 0.500
6 In 0.249 0.249 0.249
7 In 0.751 0.751 0.751

---

Computed powder diffractogram of Pm2Zn2In3 for Cu Kα (λ = 1.5418 Å), from a structure optimized by DFT (PBE).
Lines closer than 0.1° are merged.

Principal peaks in the range 5° ≤ 2θ ≤ 70°, by angle:
2theta  d/Å  intensity
29.26  3.052  29.8
31.43  2.847  100.0
31.83  2.812  99.1
35.62  2.520  23.3
38.78  2.322  46.1
41.08  2.197  32.5
44.52  2.035  16.2
51.73  1.767  15.5
53.69  1.707  19.3
57.77  1.596  23.4

Crystal structure
abc: 10.346 10.346 7.323
angles: 90.00 90.00 154.06
Element x y z (fractional)
1 Pm 0.045 0.955 0.750
2 Pm 0.161 0.839 0.250
3 Pm 0.839 0.161 0.750
4 Pm 0.955 0.045 0.250
5 Zn 0.310 0.690 0.062
6 Zn 0.310 0.690 0.438
7 Zn 0.690 0.310 0.562
8 Zn 0.690 0.310 0.938
9 In 0.220 0.780 0.750
10 In 0.434 0.566 0.559
11 In 0.434 0.566 0.941
12 In 0.566 0.434 0.059
13 In 0.566 0.434 0.441
14 In 0.780 0.220 0.250

---

Computed powder diffractogram of Pr5In6 for Cu Kα (λ = 1.5418 Å), from a structure optimized by DFT (PBE).
Lines closer than 0.1° are merged.

Principal peaks in the range 5° ≤ 2θ ≤ 70°, by angle:
2theta  d/Å  intensity
29.96  2.983  13.6
33.13  2.704  100.0
33.23  2.696  17.5
35.59  2.522  5.4
47.63  1.909  12.6
53.48  1.713  5.9
59.16  1.562  23.6
59.31  1.558  7.9
64.37  1.447  5.2
69.52  1.352  7.5

Crystal structure
abc: 9.348 9.348 9.348
angles: 146.37 131.62 60.21
Element x y z (fractional)
1 Pr 0.000 0.000 0.000
2 Pr 0.157 0.657 0.500
3 Pr 0.315 0.315 0.000
4 Pr 0.685 0.685 0.000
5 Pr 0.843 0.343 0.500
6 In 0.132 0.850 0.282
7 In 0.299 0.500 0.799
8 In 0.431 0.150 0.282
9 In 0.569 0.850 0.718
10 In 0.701 0.500 0.201
11 In 0.868 0.150 0.718

---

Computed powder diffractogram of Pr4In3 for Cu Kα (λ = 1.5418 Å), from a structure optimized by DFT (PBE).
Lines closer than 0.1° are merged.

Principal peaks in the range 5° ≤ 2θ ≤ 70°, by angle:
2theta  d/Å  intensity
28.33  3.150  3.8
32.00  2.797  100.0
32.15  2.784  97.9
36.56  2.458  3.2
46.00  1.973  32.7
57.10  1.613  47.5
57.41  1.605  14.2
60.87  1.522  2.5
66.92  1.398  9.2
67.25  1.392  9.2

Crystal structure
abc: 8.840 8.840 8.840
angles: 113.65 113.65 113.65
Element x y z (fractional)
1 Pr 0.000 0.000 0.000
2 Pr 0.070 0.619 0.762
3 Pr 0.238 0.930 0.381
4 Pr 0.381 0.238 0.930
5 Pr 0.500 0.500 0.500
6 Pr 0.619 0.762 0.070
7 Pr 0.762 0.070 0.619
8 Pr 0.930 0.381 0.238
9 In 0.125 0.251 0.528
10 In 0.251 0.528 0.125
11 In 0.472 0.875 0.749
12 In 0.528 0.125 0.251
13 In 0.749 0.472 0.875
14 In 0.875 0.749 0.472

---

Computed powder diffractogram of Pr5In2 for Cu Kα (λ = 1.5418 Å), from a structure optimized by DFT (PBE).
Lines closer than 0.1° are merged.

Principal peaks in the range 5° ≤ 2θ ≤ 70°, by angle:
2theta  d/Å  intensity
27.96  3.191  22.7
29.85  2.993  36.2
31.30  2.858  60.6
31.70  2.822  96.2
32.54  2.752  100.0
33.81  2.651  45.7
43.79  2.067  22.0
48.26  1.886  18.5
51.83  1.764  19.3
57.03  1.615  17.3

Crystal structure
abc: 8.718 8.718 9.309
angles: 97.36 97.36 40.16
Element x y z (fractional)
1 Pr 0.083 0.665 0.047
2 Pr 0.125 0.426 0.680
3 Pr 0.221 0.779 0.750
4 Pr 0.335 0.917 0.453
5 Pr 0.426 0.125 0.180
6 Pr 0.574 0.875 0.820
7 Pr 0.665 0.083 0.547
8 Pr 0.779 0.221 0.250
9 Pr 0.875 0.574 0.320
10 Pr 0.917 0.335 0.953
11 In 0.224 0.616 0.401
12 In 0.384 0.776 0.099
13 In 0.616 0.224 0.901
14 In 0.776 0.384 0.599

---

Computed powder diffractogram of Pr13In2 for Cu Kα (λ = 1.5418 Å), from a structure optimized by DFT (PBE).
Lines closer than 0.1° are merged.

Principal peaks in the range 5° ≤ 2θ ≤ 70°, by angle:
2theta  d/Å  intensity
30.48  2.933  47.8
30.69  2.913  47.3
30.92  2.892  96.9
31.05  2.880  100.0
44.17  2.051  17.6
50.96  1.792  12.4
54.78  1.676  13.1
55.04  1.668  13.4
55.36  1.659  17.4
64.74  1.440  11.0

Crystal structure
abc: 6.785 9.147 9.277
angles: 65.46 81.79 82.14
Element x y z (fractional)
1 Pr 0.000 0.000 0.000
2 Pr 0.099 0.437 0.749
3 Pr 0.192 0.191 0.214
4 Pr 0.286 0.961 0.635
5 Pr 0.297 0.624 0.975
6 Pr 0.398 0.392 0.410
7 Pr 0.476 0.829 0.176
8 Pr 0.524 0.171 0.824
9 Pr 0.602 0.608 0.590
10 Pr 0.703 0.376 0.025
11 Pr 0.714 0.039 0.365
12 Pr 0.808 0.809 0.786
13 Pr 0.901 0.563 0.251
14 In 0.091 0.769 0.434
15 In 0.909 0.231 0.566

---

Computed powder diffractogram of Pr8In2Pt for Cu Kα (λ = 1.5418 Å), from a structure optimized by DFT (PBE).
Lines closer than 0.1° are merged.

Principal peaks in the range 5° ≤ 2θ ≤ 70°, by angle:
2theta  d/Å  intensity
27.81  3.208  27.6
28.11  3.174  30.2
28.96  3.083  65.8
30.68  2.914  89.8
32.75  2.735  63.6
34.12  2.628  100.0
35.00  2.564  33.5
36.53  2.460  36.1
43.43  2.084  24.0
62.32  1.490  27.3

Crystal structure
abc: 10.191 10.191 7.026
angles: 104.41 104.41 29.89
Element x y z (fractional)
1 Pr 0.016 0.016 0.280
2 Pr 0.211 0.211 0.807
3 Pr 0.351 0.351 0.519
4 Pr 0.409 0.409 0.044
5 Pr 0.591 0.591 0.956
6 Pr 0.649 0.649 0.481
7 Pr 0.789 0.789 0.193
8 Pr 0.984 0.984 0.720
9 In 0.182 0.182 0.245
10 In 0.818 0.818 0.755
11 Pt 0.500 0.500 0.500

---

Computed powder diffractogram of Pr2In3Pt4 for Cu Kα (λ = 1.5418 Å), from a structure optimized by DFT (PBE).
Lines closer than 0.1° are merged.

Principal peaks in the range 5° ≤ 2θ ≤ 70°, by angle:
2theta  d/Å  intensity
32.50  2.755  63.1
33.83  2.649  70.7
36.72  2.447  59.9
38.15  2.359  100.0
38.66  2.329  26.0
39.59  2.276  51.0
44.06  2.055  29.7
62.04  1.496  16.0
66.71  1.402  30.6
69.75  1.348  17.1

Crystal structure
abc: 8.996 8.996 7.671
angles: 90.00 90.00 141.15
Element x y z (fractional)
1 Pr 0.102 0.898 0.910
2 Pr 0.398 0.602 0.410
3 Pr 0.602 0.398 0.590
4 Pr 0.898 0.102 0.090
5 In 0.000 0.000 0.500
6 In 0.015 0.485 0.750
7 In 0.485 0.015 0.250
8 In 0.500 0.500 0.000
9 In 0.515 0.985 0.750
10 In 0.985 0.515 0.250
11 Pt 0.167 0.833 0.526
12 Pt 0.181 0.319 0.750
13 Pt 0.319 0.181 0.250
14 Pt 0.333 0.667 0.026
15 Pt 0.667 0.333 0.974
16 Pt 0.681 0.819 0.750
17 Pt 0.819 0.681 0.250
18 Pt 0.833 0.167 0.474

---

Computed powder diffractogram of Pr12InPt6 for Cu Kα (λ = 1.5418 Å), from a structure optimized by DFT (PBE).
Lines closer than 0.1° are merged.

Principal peaks in the range 5° ≤ 2θ ≤ 70°, by angle:
2theta  d/Å  intensity
11.99  7.380  15.5
16.99  5.218  15.3
29.65  3.013  10.6
32.09  2.789  100.0
36.53  2.460  14.8
44.25  2.047  32.2
51.02  1.790  9.9
52.62  1.739  16.9
54.17  1.693  18.4
62.97  1.476  12.7

Crystal structure
abc: 9.039 9.039 9.039
angles: 109.47 109.47 109.47
Element x y z (fractional)
1 Pr 0.123 0.820 0.304
2 Pr 0.180 0.304 0.484
3 Pr 0.180 0.696 0.877
4 Pr 0.304 0.123 0.820
5 Pr 0.304 0.484 0.180
6 Pr 0.484 0.180 0.304
7 Pr 0.516 0.820 0.696
8 Pr 0.696 0.516 0.820
9 Pr 0.696 0.877 0.180
10 Pr 0.820 0.304 0.123
11 Pr 0.820 0.696 0.516
12 Pr 0.877 0.180 0.696
13 In 0.000 0.000 0.000
14 Pt 0.134 0.634 0.500
15 Pt 0.366 0.500 0.866
16 Pt 0.500 0.134 0.634
17 Pt 0.500 0.866 0.366
18 Pt 0.634 0.500 0.134
19 Pt 0.866 0.366 0.500

---

Computed powder diffractogram of Rb3Pr2InS6 for Cu Kα (λ = 1.5418 Å), from a structure optimized by DFT (PBE).
Lines closer than 0.1° are merged.

Principal peaks in the range 5° ≤ 2θ ≤ 70°, by angle:
2theta  d/Å  intensity
11.44  7.733  18.9
23.00  3.867  21.1
25.86  3.445  40.5
29.15  3.064  100.0
39.88  2.260  36.3
43.44  2.083  33.5
46.54  1.951  13.0
49.71  1.834  17.0
53.17  1.723  17.3
65.92  1.417  12.9

Crystal structure
abc: 7.216 7.216 8.101
angles: 98.56 98.56 120.00
Element x y z (fractional)
1 Rb 0.000 0.000 0.000
2 Rb 0.332 0.668 0.000
3 Rb 0.668 0.332 0.000
4 Pr 0.166 0.834 0.500
5 Pr 0.834 0.166 0.500
6 In 0.500 0.500 0.500
7 S 0.117 0.435 0.305
8 S 0.247 0.247 0.696
9 S 0.435 0.117 0.305
10 S 0.565 0.883 0.695
11 S 0.753 0.753 0.304
12 S 0.883 0.565 0.695